Record 1
Calculated powder X-ray diffraction pattern
Compound: Na3LiI4
Radiation: Cu Kα (weighted mean of Kα1 and Kα2)
Structure: DFT lattice parameters and positions (PBE)
Kinematic intensities with the Lorentz-polarization factor, no thermal factor.

```
Na3LiI4
1.0
6.980 0.000 0.000
0.000 6.980 0.000
0.000 0.000 13.901
Na Li I
6 2 8
Cartesian
0.000 0.000 0.000 Na
0.000 3.490 3.475 Na
0.000 3.490 10.425 Na
3.490 0.000 3.475 Na
3.490 0.000 10.425 Na
3.490 3.490 6.950 Na
0.000 0.000 6.950 Li
3.490 3.490 0.000 Li
1.620 1.620 5.323 I
1.620 5.360 8.577 I
1.870 1.870 12.273 I
1.870 5.110 1.627 I
5.110 1.870 1.627 I
5.110 5.110 12.273 I
5.360 1.620 8.577 I
5.360 5.360 5.323 I
```

Most intense lines, 2θ = 15–90°, in order of rising 2θ:
| index | 2theta | intensity |
| --- | --- | --- |
| 1 1 2 | 22.09 | 100 |
| 2 0 0 | 25.52 | 23 |
| 0 0 4 | 25.63 | 12 |
| 2 0 4 | 36.46 | 51 |
| 3 1 2 | 42.99 | 31 |
| 1 1 6 | 43.13 | 15 |
| 2 2 4 | 45.06 | 9 |
| 3 1 6 | 57.68 | 12 |
| 4 0 4 | 59.23 | 7 |
| 4 2 4 | 65.56 | 10 |

Record 2
Calculated powder X-ray diffraction pattern
Compound: Sr2GaSn4Hg3
Radiation: Cu Kα (weighted mean of Kα1 and Kα2)
Structure: DFT lattice parameters and positions (PBE)
Kinematic intensities with the Lorentz-polarization factor, no thermal factor.

```
Sr2GaSn4Hg3
1.0
4.924 0.000 0.000
0.000 4.924 0.000
0.000 0.000 11.974
Sr Ga Sn Hg
2 1 4 3
Cartesian
0.000 2.462 2.922 Sr
2.462 0.000 9.052 Sr
2.462 2.462 0.000 Ga
0.000 0.000 5.987 Sn
0.000 2.462 10.476 Sn
2.462 0.000 1.497 Sn
2.462 2.462 5.987 Sn
0.000 0.000 0.000 Hg
0.000 2.462 7.688 Hg
2.462 0.000 4.286 Hg
```

Most intense lines, 2θ = 15–90°, in order of rising 2θ:
| index | 2theta | intensity |
| --- | --- | --- |
| 1 0 1 | 19.49 | 49 |
| 1 0 3 | 28.79 | 52 |
| 1 1 2 | 29.68 | 100 |
| 2 0 0 | 36.50 | 86 |
| 1 1 4 | 39.71 | 69 |
| 1 0 5 | 41.95 | 36 |
| 2 1 3 | 47.14 | 27 |
| 2 2 0 | 52.57 | 31 |
| 2 1 5 | 56.80 | 30 |
| 3 1 4 | 67.85 | 30 |